For ScSiF3, a PBE-relaxed structure gives the simulated powder X-ray diffraction pattern in this record (Cu Kα).
Intensities are scaled so that the largest is 100.

Main lines, sorted by position (2θ from 15° to 90°):
two_theta, d (Å), I (rel.), (hkl)
21.08, 4.215, 54.1, 1 0 0
29.98, 2.980, 95.3, 1 1 0
36.94, 2.433, 22.8, 1 1 1
42.92, 2.107, 100.0, 2 0 0
53.24, 1.721, 35.9, 2 1 1
62.31, 1.490, 55.3, 2 2 0

Structure:
a b c (Å): 4.2146 4.2146 4.2146
angles (deg): 90.00 90.00 90.00
Atoms (fractional coordinates):
Sc 0.0000 0.0000 0.0000
Si 0.5000 0.5000 0.5000
F 0.0000 0.0000 0.5000
F 0.0000 0.5000 0.0000
F 0.5000 0.0000 0.0000